Entry 1:
Computed XRD peak list
Compound: GePdSeS2
Radiation: λ = 1.5418 Å (Cu Kα)
Structure: a cell relaxed with PBE
Neutral-atom scattering factors, no anomalous dispersion.

Atomic structure:
Lattice parameters (Å, degrees): 7.780 7.780 9.426 106.55 106.55 26.34
Positions (direct):
Ge1 0.088 0.088 0.306
Ge2 0.912 0.912 0.694
Pd1 0.387 0.387 0.021
Pd2 0.613 0.613 0.979
Se1 0.078 0.078 0.790
Se2 0.922 0.922 0.210
S1 0.173 0.173 0.145
S2 0.371 0.371 0.539
S3 0.629 0.629 0.461
S4 0.827 0.827 0.855

Largest 12 diffraction maxima, by angle, 2θ = 10–90°:
2theta	d (Å)	intensity
12.2	7.244	48.9
19.9	4.456	61.4
23.6	3.763	28.1
24.6	3.622	100.0
26.7	3.340	49.5
31.6	2.833	79.9
33.8	2.649	87.5
46.8	1.940	59.9
48.4	1.882	27.9
49.3	1.848	52.2
51.6	1.773	26.4
57.1	1.613	22.4

=====

Entry 2:
Computed XRD peak list
Compound: GeTePdS2
Radiation: λ = 1.5418 Å (Cu Kα)
Structure: a cell relaxed with PBE
Neutral-atom scattering factors, no anomalous dispersion.

Atomic structure:
Lattice parameters (Å, degrees): 7.984 7.984 9.715 105.77 105.77 26.14
Positions (direct):
Ge1 0.092 0.092 0.307
Ge2 0.908 0.908 0.693
Te1 0.085 0.085 0.788
Te2 0.915 0.915 0.212
Pd1 0.383 0.383 0.012
Pd2 0.617 0.617 0.988
S1 0.174 0.174 0.150
S2 0.368 0.368 0.543
S3 0.632 0.632 0.457
S4 0.826 0.826 0.850

Largest 12 diffraction maxima, by angle, 2θ = 10–90°:
2theta	d (Å)	intensity
11.9	7.468	39.8
19.4	4.571	60.2
23.1	3.858	36.8
23.8	3.734	100.0
26.1	3.417	24.5
30.9	2.897	87.8
32.9	2.720	68.9
38.6	2.330	23.9
39.0	2.312	28.2
45.6	1.989	47.2
47.7	1.908	46.7
50.6	1.806	23.8

=====

Entry 3:
Computed XRD peak list
Compound: Ge4PdSe3
Radiation: λ = 1.5418 Å (Cu Kα)
Structure: a cell relaxed with PBE
Neutral-atom scattering factors, no anomalous dispersion.

Atomic structure:
Lattice parameters (Å, degrees): 6.602 3.643 7.432 90.00 97.71 90.00
Positions (direct):
Ge1 0.000 0.000 0.000
Ge2 0.194 0.500 0.467
Ge3 0.562 0.500 0.976
Ge4 0.763 0.000 0.439
Pd1 0.880 0.500 0.221
Se1 0.329 0.000 0.824
Se2 0.386 0.000 0.321
Se3 0.809 0.500 0.732

Largest 12 diffraction maxima, by angle, 2θ = 10–90°:
2theta	d (Å)	intensity
27.3	3.271	28.6
28.0	3.183	29.1
29.8	2.994	65.1
31.4	2.853	78.2
36.1	2.490	100.0
38.6	2.334	60.7
39.2	2.297	32.1
42.4	2.131	31.5
48.7	1.871	52.5
49.6	1.839	24.9
50.1	1.821	41.6
55.9	1.644	25.7

=====

Entry 4:
Computed XRD peak list
Compound: SiGePd2
Radiation: λ = 1.5418 Å (Cu Kα)
Structure: a cell relaxed with PBE
Neutral-atom scattering factors, no anomalous dispersion.

Atomic structure:
Lattice parameters (Å, degrees): 3.546 6.245 5.720 90.00 90.00 90.00
Positions (direct):
Si1 0.000 0.171 0.000
Si2 0.000 0.829 0.500
Ge1 0.500 0.328 0.364
Ge2 0.500 0.672 0.864
Pd1 0.000 0.435 0.684
Pd2 0.000 0.565 0.184
Pd3 0.500 0.056 0.690
Pd4 0.500 0.944 0.190

Largest 12 diffraction maxima, by angle, 2θ = 10–90°:
2theta	d (Å)	intensity
21.1	4.218	17.7
29.0	3.084	64.1
31.3	2.860	27.4
33.0	2.714	28.6
41.6	2.169	72.8
42.9	2.109	35.5
43.1	2.097	100.0
46.4	1.956	29.8
50.0	1.824	16.8
50.9	1.795	21.2
51.5	1.773	27.8
84.8	1.143	24.0

=====

Entry 5:
Computed XRD peak list
Compound: SrSiGePd2
Radiation: λ = 1.5418 Å (Cu Kα)
Structure: a cell relaxed with PBE
Neutral-atom scattering factors, no anomalous dispersion.

Atomic structure:
Lattice parameters (Å, degrees): 4.414 4.414 10.098 90.00 90.00 90.00
Positions (direct):
Sr1 0.250 0.250 0.248
Sr2 0.750 0.750 0.752
Si1 0.250 0.250 0.619
Si2 0.750 0.750 0.381
Ge1 0.250 0.750 0.000
Ge2 0.750 0.250 0.000
Pd1 0.250 0.250 0.863
Pd2 0.250 0.750 0.500
Pd3 0.750 0.250 0.500
Pd4 0.750 0.750 0.137

Largest 12 diffraction maxima, by angle, 2θ = 10–90°:
2theta	d (Å)	intensity
26.8	3.323	13.0
30.0	2.982	11.8
33.5	2.676	35.8
33.8	2.655	100.0
40.9	2.207	59.9
46.3	1.963	25.8
49.6	1.837	21.5
53.8	1.703	17.9
59.2	1.560	19.7
66.2	1.412	14.9
69.9	1.345	23.3
89.4	1.096	11.6

=====

Entry 6:
Computed XRD peak list
Compound: TbSiGePd2
Radiation: λ = 1.5418 Å (Cu Kα)
Structure: a cell relaxed with PBE
Neutral-atom scattering factors, no anomalous dispersion.

Atomic structure:
Lattice parameters (Å, degrees): 4.217 4.217 10.209 90.00 90.00 90.00
Positions (direct):
Tb1 0.250 0.250 0.246
Tb2 0.750 0.750 0.754
Si1 0.250 0.250 0.873
Si2 0.750 0.750 0.127
Ge1 0.250 0.750 0.500
Ge2 0.750 0.250 0.500
Pd1 0.250 0.250 0.641
Pd2 0.250 0.750 0.000
Pd3 0.750 0.250 0.000
Pd4 0.750 0.750 0.359

Largest 12 diffraction maxima, by angle, 2θ = 10–90°:
2theta	d (Å)	intensity
27.4	3.251	10.1
33.9	2.648	41.8
34.8	2.575	100.0
42.9	2.108	48.1
49.6	1.838	22.0
55.7	1.649	20.0
56.6	1.625	8.5
62.3	1.491	15.7
62.9	1.478	10.2
67.6	1.385	17.2
73.4	1.290	22.4
89.8	1.092	10.1